For BaZn2SnRh, the PBE geometry in Alexandria gives the calculated X-ray powder pattern in this record (a wavelength of 1.5418 Å).
No peak broadening, texture or thermal motion is included.

Largest 10 diffraction maxima, in order of rising 2θ, 2θ from 10° to 90°:
h k l, d_spacing, I/Imax
1 0 1, 3.559, 28.2
1 1 0, 3.516, 45.6
1 1 1, 2.894, 100.0
0 0 2, 2.548, 52.7
2 0 0, 2.486, 98.4
1 1 2, 2.063, 21.1
2 0 2, 1.779, 71.1
2 2 0, 1.758, 34.2
3 1 1, 1.503, 27.4
2 2 2, 1.447, 35.7

Cell and atoms:
Cell: 4.973 4.973 5.096 Å, 90.00 90.00 90.00°
Element x y z (fractional)
Ba1 0.000 0.000 0.000
Zn1 0.000 0.500 0.500
Zn2 0.500 0.000 0.500
Sn1 0.500 0.500 0.000
Rh1 0.500 0.500 0.500